# Ba2AlCu2F11
Simulated XRD peak list, Cu Kα X-rays. Input: a cell relaxed with PBE.
Peak positions follow from Bragg's law for the DFT cell and can differ from measured ones.

Most intense lines, 2θ = 10–90°, sorted by position:
| Position (°2θ) | I_rel |
| --- | --- |
| 23.98 | 100 |
| 25.55 | 95 |
| 27.92 | 94 |
| 29.34 | 78 |
| 29.50 | 80 |
| 31.46 | 95 |
| 40.40 | 88 |
| 41.72 | 46 |
| 43.07 | 38 |
| 46.59 | 43 |
| 50.68 | 49 |
| 59.70 | 37 |

Structural model:
```
data_Ba2AlCu2F11
_chemical_formula_sum 'Ba6 Al3 Cu6 F33'
_space_group_name_H-M_alt 'P 1'
_space_group_IT_number 1
_space_group_name_Hall 'P 1'
_cell_length_a 7.205
_cell_length_b 7.205
_cell_length_c 13.850
_cell_angle_alpha 90.00
_cell_angle_beta 90.00
_cell_angle_gamma 120.00
loop_
_atom_site_label
_atom_site_fract_x
_atom_site_fract_y
_atom_site_fract_z
Ba1 0.151 0.017 0.000
Ba2 0.509 0.167 0.467
Ba3 0.658 0.491 0.800
Ba4 0.833 0.342 0.133
Ba5 0.865 0.849 0.333
Ba6 0.983 0.135 0.667
Al1 0.179 0.499 0.869
Al2 0.319 0.821 0.203
Al3 0.501 0.681 0.536
Cu1 0.118 0.427 0.388
Cu2 0.309 0.882 0.722
Cu3 0.334 0.304 0.230
Cu4 0.573 0.691 0.055
Cu5 0.696 0.031 0.897
Cu6 0.969 0.666 0.564
F1 0.009 0.768 0.695
F2 0.044 0.760 0.174
F3 0.052 0.137 0.180
F4 0.077 0.371 0.982
F5 0.085 0.948 0.514
F6 0.131 0.718 0.885
F7 0.200 0.546 0.239
F8 0.232 0.241 0.362
F9 0.240 0.283 0.840
F10 0.265 0.593 0.744
F11 0.282 0.413 0.552
F12 0.294 0.923 0.316
F13 0.328 0.735 0.078
F14 0.347 0.800 0.573
F15 0.375 0.159 0.678
F16 0.407 0.672 0.411
F17 0.422 0.081 0.149
F18 0.425 0.419 0.106
F19 0.454 0.653 0.906
F20 0.559 0.182 0.942
F21 0.581 0.007 0.772
F22 0.587 0.869 0.218
F23 0.623 0.441 0.276
F24 0.629 0.706 0.649
F25 0.659 0.578 0.482
F26 0.717 0.956 0.507
F27 0.759 0.991 0.029
F28 0.784 0.625 0.011
F29 0.818 0.377 0.609
F30 0.841 0.216 0.345
F31 0.863 0.915 0.847
F32 0.919 0.341 0.816
F33 0.993 0.575 0.439
```



# BaAl2GaCu2
Simulated XRD peak list, Cu Kα X-rays. Input: a cell relaxed with PBE.
Peak positions follow from Bragg's law for the DFT cell and can differ from measured ones.

Most intense lines, 2θ = 10–90°, sorted by position:
| Position (°2θ) | I_rel |
| --- | --- |
| 26.86 | 27 |
| 27.69 | 57 |
| 32.00 | 38 |
| 32.29 | 100 |
| 32.91 | 49 |
| 33.73 | 40 |
| 38.43 | 63 |
| 41.14 | 27 |
| 43.53 | 37 |
| 47.28 | 34 |
| 53.78 | 26 |
| 54.91 | 32 |

Structural model:
```
data_BaAl2GaCu2
_chemical_formula_sum 'Ba2 Al4 Ga2 Cu4'
_space_group_name_H-M_alt 'P 1'
_space_group_IT_number 1
_space_group_name_Hall 'P 1'
_cell_length_a 6.821
_cell_length_b 6.821
_cell_length_c 5.190
_cell_angle_alpha 90.00
_cell_angle_beta 90.00
_cell_angle_gamma 74.11
loop_
_atom_site_label
_atom_site_fract_x
_atom_site_fract_y
_atom_site_fract_z
Ba1 0.156 0.844 0.750
Ba2 0.844 0.156 0.250
Al1 0.030 0.568 0.250
Al2 0.432 0.970 0.250
Al3 0.568 0.030 0.750
Al4 0.970 0.432 0.750
Ga1 0.423 0.577 0.250
Ga2 0.577 0.423 0.750
Cu1 0.297 0.297 0.000
Cu2 0.297 0.297 0.500
Cu3 0.703 0.703 0.000
Cu4 0.703 0.703 0.500
```



# BaAlGa2Cu2
Simulated XRD peak list, Cu Kα X-rays. Input: a cell relaxed with PBE.
Peak positions follow from Bragg's law for the DFT cell and can differ from measured ones.

Most intense lines, 2θ = 10–90°, sorted by position:
| Position (°2θ) | I_rel |
| --- | --- |
| 27.09 | 32 |
| 32.16 | 100 |
| 32.35 | 64 |
| 33.24 | 25 |
| 33.79 | 35 |
| 41.04 | 49 |
| 43.78 | 16 |
| 44.49 | 30 |
| 47.39 | 32 |
| 54.15 | 25 |
| 56.53 | 17 |
| 60.26 | 16 |

Structural model:
```
data_BaAlGa2Cu2
_chemical_formula_sum 'Ba2 Al2 Ga4 Cu4'
_space_group_name_H-M_alt 'P 1'
_space_group_IT_number 1
_space_group_name_Hall 'P 1'
_cell_length_a 6.776
_cell_length_b 6.776
_cell_length_c 5.209
_cell_angle_alpha 90.00
_cell_angle_beta 90.00
_cell_angle_gamma 74.59
loop_
_atom_site_label
_atom_site_fract_x
_atom_site_fract_y
_atom_site_fract_z
Ba1 0.153 0.847 0.750
Ba2 0.847 0.153 0.250
Al1 0.429 0.571 0.250
Al2 0.571 0.429 0.750
Ga1 0.030 0.580 0.250
Ga2 0.420 0.970 0.250
Ga3 0.580 0.030 0.750
Ga4 0.970 0.420 0.750
Cu1 0.299 0.299 0.000
Cu2 0.299 0.299 0.500
Cu3 0.701 0.701 0.000
Cu4 0.701 0.701 0.500
```



# BaDyAl4Pd2
Simulated XRD peak list, Cu Kα X-rays. Input: a cell relaxed with PBE.
Peak positions follow from Bragg's law for the DFT cell and can differ from measured ones.

Most intense lines, 2θ = 10–90°, sorted by position:
| Position (°2θ) | I_rel |
| --- | --- |
| 22.41 | 57 |
| 24.11 | 63 |
| 33.15 | 79 |
| 34.44 | 100 |
| 34.70 | 60 |
| 42.52 | 29 |
| 49.44 | 68 |
| 49.63 | 13 |
| 54.86 | 14 |
| 56.00 | 30 |
| 60.39 | 16 |
| 72.62 | 25 |

Structural model:
```
data_BaDyAl4Pd2
_chemical_formula_sum 'Ba1 Dy1 Al4 Pd2'
_space_group_name_H-M_alt 'P 1'
_space_group_IT_number 1
_space_group_name_Hall 'P 1'
_cell_length_a 7.383
_cell_length_b 5.915
_cell_length_c 5.915
_cell_angle_alpha 42.13
_cell_angle_beta 90.00
_cell_angle_gamma 90.00
loop_
_atom_site_label
_atom_site_fract_x
_atom_site_fract_y
_atom_site_fract_z
Ba1 0.000 0.000 0.000
Dy1 0.500 0.892 0.892
Al1 0.204 0.280 0.280
Al2 0.317 0.617 0.617
Al3 0.683 0.617 0.617
Al4 0.796 0.280 0.280
Pd1 0.000 0.727 0.727
Pd2 0.500 0.164 0.164
```



# BaHoAl4Pd2
Simulated XRD peak list, Cu Kα X-rays. Input: a cell relaxed with PBE.
Peak positions follow from Bragg's law for the DFT cell and can differ from measured ones.

Most intense lines, 2θ = 10–90°, sorted by position:
| Position (°2θ) | I_rel |
| --- | --- |
| 22.39 | 57 |
| 24.07 | 63 |
| 33.11 | 79 |
| 34.57 | 100 |
| 34.97 | 60 |
| 42.44 | 29 |
| 49.35 | 32 |
| 49.50 | 36 |
| 49.80 | 13 |
| 54.78 | 14 |
| 56.12 | 30 |
| 72.45 | 11 |

Structural model:
```
data_BaHoAl4Pd2
_chemical_formula_sum 'Ba1 Ho1 Al4 Pd2'
_space_group_name_H-M_alt 'P 1'
_space_group_IT_number 1
_space_group_name_Hall 'P 1'
_cell_length_a 7.394
_cell_length_b 5.872
_cell_length_c 5.872
_cell_angle_alpha 42.54
_cell_angle_beta 90.00
_cell_angle_gamma 90.00
loop_
_atom_site_label
_atom_site_fract_x
_atom_site_fract_y
_atom_site_fract_z
Ba1 0.000 0.000 0.000
Ho1 0.500 0.891 0.891
Al1 0.205 0.280 0.280
Al2 0.317 0.615 0.615
Al3 0.683 0.615 0.615
Al4 0.795 0.280 0.280
Pd1 0.000 0.726 0.726
Pd2 0.500 0.162 0.162
```



# BaAlIn3Ir
Simulated XRD peak list, Cu Kα X-rays. Input: a cell relaxed with PBE.
Peak positions follow from Bragg's law for the DFT cell and can differ from measured ones.

Most intense lines, 2θ = 10–90°, sorted by position:
| Position (°2θ) | I_rel |
| --- | --- |
| 15.35 | 24 |
| 21.18 | 24 |
| 24.78 | 16 |
| 29.24 | 40 |
| 31.37 | 17 |
| 31.99 | 100 |
| 35.51 | 17 |
| 37.11 | 30 |
| 39.70 | 37 |
| 40.47 | 36 |
| 44.52 | 20 |
| 63.72 | 18 |

Structural model:
```
data_BaAlIn3Ir
_chemical_formula_sum 'Ba2 Al2 In6 Ir2'
_space_group_name_H-M_alt 'P 1'
_space_group_IT_number 1
_space_group_name_Hall 'P 1'
_cell_length_a 8.388
_cell_length_b 4.458
_cell_length_c 7.954
_cell_angle_alpha 90.00
_cell_angle_beta 90.00
_cell_angle_gamma 90.00
loop_
_atom_site_label
_atom_site_fract_x
_atom_site_fract_y
_atom_site_fract_z
Ba1 0.250 0.000 0.099
Ba2 0.750 0.000 0.901
Al1 0.000 0.000 0.500
Al2 0.500 0.000 0.500
In1 0.065 0.500 0.782
In2 0.250 0.500 0.431
In3 0.435 0.500 0.782
In4 0.565 0.500 0.218
In5 0.750 0.500 0.569
In6 0.935 0.500 0.218
Ir1 0.250 0.000 0.657
Ir2 0.750 0.000 0.343
```



# Ba2AlTcP6
Simulated XRD peak list, Cu Kα X-rays. Input: a cell relaxed with PBE.
Peak positions follow from Bragg's law for the DFT cell and can differ from measured ones.

Most intense lines, 2θ = 10–90°, sorted by position:
| Position (°2θ) | I_rel |
| --- | --- |
| 25.51 | 79 |
| 28.09 | 100 |
| 29.65 | 45 |
| 34.07 | 41 |
| 38.30 | 79 |
| 41.30 | 47 |
| 44.72 | 19 |
| 48.17 | 31 |
| 53.35 | 22 |
| 58.08 | 22 |
| 61.37 | 18 |
| 64.45 | 20 |

Structural model:
```
data_Ba2AlTcP6
_chemical_formula_sum 'Ba2 Al1 Tc1 P6'
_space_group_name_H-M_alt 'P 1'
_space_group_IT_number 1
_space_group_name_Hall 'P 1'
_cell_length_a 7.054
_cell_length_b 7.054
_cell_length_c 7.054
_cell_angle_alpha 53.53
_cell_angle_beta 53.53
_cell_angle_gamma 53.53
loop_
_atom_site_label
_atom_site_fract_x
_atom_site_fract_y
_atom_site_fract_z
Ba1 0.000 0.000 0.000
Ba2 0.500 0.500 0.500
Al1 0.704 0.704 0.704
Tc1 0.206 0.206 0.206
P1 0.063 0.445 0.445
P2 0.445 0.063 0.445
P3 0.445 0.445 0.063
P4 0.554 0.948 0.948
P5 0.948 0.554 0.948
P6 0.948 0.948 0.554
```



# BaAlZn2P
Simulated XRD peak list, Cu Kα X-rays. Input: a cell relaxed with PBE.
Peak positions follow from Bragg's law for the DFT cell and can differ from measured ones.

Most intense lines, 2θ = 10–90°, sorted by position:
| Position (°2θ) | I_rel |
| --- | --- |
| 21.23 | 21 |
| 32.64 | 100 |
| 34.86 | 10 |
| 39.33 | 31 |
| 48.47 | 9 |
| 51.98 | 13 |
| 53.55 | 11 |
| 56.83 | 10 |
| 61.12 | 10 |
| 64.12 | 8 |
| 67.11 | 21 |
| 88.28 | 7 |

Structural model:
```
data_BaAlZn2P
_chemical_formula_sum 'Ba1 Al1 Zn2 P1'
_space_group_name_H-M_alt 'P 1'
_space_group_IT_number 1
_space_group_name_Hall 'P 1'
_cell_length_a 6.082
_cell_length_b 6.082
_cell_length_c 6.082
_cell_angle_alpha 135.74
_cell_angle_beta 135.74
_cell_angle_gamma 64.38
loop_
_atom_site_label
_atom_site_fract_x
_atom_site_fract_y
_atom_site_fract_z
Ba1 0.000 0.000 0.000
Al1 0.635 0.635 0.000
Zn1 0.253 0.753 0.500
Zn2 0.753 0.253 0.500
P1 0.398 0.398 0.000
```



# BaZrAlS3
Simulated XRD peak list, Cu Kα X-rays. Input: a cell relaxed with PBE.
Peak positions follow from Bragg's law for the DFT cell and can differ from measured ones.

Most intense lines, 2θ = 10–90°, sorted by position:
| Position (°2θ) | I_rel |
| --- | --- |
| 21.92 | 100 |
| 24.35 | 35 |
| 26.14 | 35 |
| 30.05 | 30 |
| 31.43 | 100 |
| 35.34 | 43 |
| 36.89 | 35 |
| 37.10 | 41 |
| 41.42 | 36 |
| 43.38 | 23 |
| 44.71 | 37 |
| 48.46 | 24 |

Structural model:
```
data_BaZrAlS3
_chemical_formula_sum 'Ba2 Zr2 Al2 S6'
_space_group_name_H-M_alt 'P 1'
_space_group_IT_number 1
_space_group_name_Hall 'P 1'
_cell_length_a 7.549
_cell_length_b 7.549
_cell_length_c 9.746
_cell_angle_alpha 90.00
_cell_angle_beta 90.00
_cell_angle_gamma 151.18
loop_
_atom_site_label
_atom_site_fract_x
_atom_site_fract_y
_atom_site_fract_z
Ba1 0.247 0.753 0.750
Ba2 0.753 0.247 0.250
Zr1 0.000 0.000 0.000
Zr2 0.000 0.000 0.500
Al1 0.472 0.528 0.250
Al2 0.528 0.472 0.750
S1 0.073 0.927 0.250
S2 0.372 0.628 0.063
S3 0.372 0.628 0.437
S4 0.628 0.372 0.563
S5 0.628 0.372 0.937
S6 0.927 0.073 0.750
```



# BaAl3Tc
Simulated XRD peak list, Cu Kα X-rays. Input: a cell relaxed with PBE.
Peak positions follow from Bragg's law for the DFT cell and can differ from measured ones.

Most intense lines, 2θ = 10–90°, sorted by position:
| Position (°2θ) | I_rel |
| --- | --- |
| 25.65 | 100 |
| 25.77 | 52 |
| 31.60 | 20 |
| 36.41 | 19 |
| 36.76 | 48 |
| 45.14 | 15 |
| 45.36 | 42 |
| 52.70 | 26 |
| 52.97 | 16 |
| 59.78 | 19 |
| 65.98 | 13 |
| 72.25 | 11 |

Structural model:
```
data_BaAl3Tc
_chemical_formula_sum 'Ba2 Al6 Tc2'
_space_group_name_H-M_alt 'P 1'
_space_group_IT_number 1
_space_group_name_Hall 'P 1'
_cell_length_a 6.915
_cell_length_b 6.915
_cell_length_c 4.936
_cell_angle_alpha 90.00
_cell_angle_beta 90.00
_cell_angle_gamma 90.00
loop_
_atom_site_label
_atom_site_fract_x
_atom_site_fract_y
_atom_site_fract_z
Ba1 0.250 0.750 0.000
Ba2 0.750 0.250 0.000
Al1 0.000 0.000 0.500
Al2 0.000 0.500 0.500
Al3 0.250 0.250 0.063
Al4 0.500 0.000 0.500
Al5 0.500 0.500 0.500
Al6 0.750 0.750 0.937
Tc1 0.250 0.250 0.563
Tc2 0.750 0.750 0.437
```



# BeAl2Cd
Simulated XRD peak list, Cu Kα X-rays. Input: a cell relaxed with PBE.
Peak positions follow from Bragg's law for the DFT cell and can differ from measured ones.

Most intense lines, 2θ = 10–90°, sorted by position:
| Position (°2θ) | I_rel |
| --- | --- |
| 23.95 | 66 |
| 27.73 | 51 |
| 39.62 | 100 |
| 46.83 | 33 |
| 49.04 | 14 |
| 57.27 | 16 |
| 62.97 | 13 |
| 64.80 | 17 |
| 71.88 | 33 |
| 77.01 | 9 |
| 85.34 | 10 |

Structural model:
```
data_BeAl2Cd
_chemical_formula_sum 'Be1 Al2 Cd1'
_space_group_name_H-M_alt 'P 1'
_space_group_IT_number 1
_space_group_name_Hall 'P 1'
_cell_length_a 4.550
_cell_length_b 4.550
_cell_length_c 4.550
_cell_angle_alpha 60.00
_cell_angle_beta 60.00
_cell_angle_gamma 60.00
loop_
_atom_site_label
_atom_site_fract_x
_atom_site_fract_y
_atom_site_fract_z
Be1 0.000 0.000 0.000
Al1 0.500 0.500 0.500
Al2 0.750 0.750 0.750
Cd1 0.250 0.250 0.250
```



# BeAlCdFe
Simulated XRD peak list, Cu Kα X-rays. Input: a cell relaxed with PBE.
Peak positions follow from Bragg's law for the DFT cell and can differ from measured ones.

Most intense lines, 2θ = 10–90°, sorted by position:
| Position (°2θ) | I_rel |
| --- | --- |
| 25.71 | 21 |
| 29.77 | 63 |
| 42.60 | 100 |
| 50.43 | 10 |
| 52.84 | 16 |
| 61.83 | 16 |
| 68.09 | 4 |
| 70.12 | 19 |
| 77.99 | 31 |
| 83.73 | 3 |

Structural model:
```
data_BeAlCdFe
_chemical_formula_sum 'Be1 Al1 Cd1 Fe1'
_space_group_name_H-M_alt 'P 1'
_space_group_IT_number 1
_space_group_name_Hall 'P 1'
_cell_length_a 4.244
_cell_length_b 4.244
_cell_length_c 4.244
_cell_angle_alpha 60.00
_cell_angle_beta 60.00
_cell_angle_gamma 60.00
loop_
_atom_site_label
_atom_site_fract_x
_atom_site_fract_y
_atom_site_fract_z
Be1 0.000 0.000 0.000
Al1 0.500 0.500 0.500
Cd1 0.250 0.250 0.250
Fe1 0.750 0.750 0.750
```



# BeAlCu2
Simulated XRD peak list, Cu Kα X-rays. Input: a cell relaxed with PBE.
Peak positions follow from Bragg's law for the DFT cell and can differ from measured ones.

Most intense lines, 2θ = 10–90°, sorted by position:
| Position (°2θ) | I_rel |
| --- | --- |
| 31.63 | 54 |
| 35.48 | 9 |
| 45.34 | 100 |
| 48.26 | 4 |
| 56.33 | 11 |
| 58.85 | 3 |
| 66.06 | 14 |
| 68.37 | 5 |
| 75.09 | 11 |
| 77.28 | 2 |
| 83.76 | 26 |
| 85.90 | 3 |

Structural model:
```
data_BeAlCu2
_chemical_formula_sum 'Be4 Al4 Cu8'
_space_group_name_H-M_alt 'P 1'
_space_group_IT_number 1
_space_group_name_Hall 'P 1'
_cell_length_a 5.657
_cell_length_b 5.657
_cell_length_c 5.657
_cell_angle_alpha 90.00
_cell_angle_beta 90.00
_cell_angle_gamma 90.00
loop_
_atom_site_label
_atom_site_fract_x
_atom_site_fract_y
_atom_site_fract_z
Be1 0.000 0.000 0.000
Be2 0.000 0.000 0.500
Be3 0.000 0.500 0.000
Be4 0.500 0.000 0.000
Al1 0.000 0.500 0.500
Al2 0.500 0.000 0.500
Al3 0.500 0.500 0.000
Al4 0.500 0.500 0.500
Cu1 0.234 0.234 0.234
Cu2 0.234 0.234 0.766
Cu3 0.234 0.766 0.234
Cu4 0.234 0.766 0.766
Cu5 0.766 0.234 0.234
Cu6 0.766 0.234 0.766
Cu7 0.766 0.766 0.234
Cu8 0.766 0.766 0.766
```